Record 1
For Nd2Be2GeO7, a structure optimized by DFT (GGA-PBE) gives the calculated powder XRD pattern in this record (copper Kα).
Lines closer than 0.1° are merged.

Structure:
Cell lengths 7.561, 7.561, 4.879 Å; angles 90.00, 90.00, 90.00 degrees
Space group P-42_1m (No. 113)
Symmetry-distinct sites (fractional):
Nd 0.159 0.341 0.495 (multiplicity 4)
Be 0.134 0.634 0.958 (multiplicity 4)
Ge 0.000 0.000 0.000 (multiplicity 2)
O 0.000 0.500 0.829 (multiplicity 2)
O 0.078 0.826 0.792 (multiplicity 8)
O 0.143 0.643 0.281 (multiplicity 4)

Largest 12 diffraction maxima, sorted by position, 5° ≤ 2θ ≤ 70°:
| d_spacing | 2theta | intensity | hkl |
| --- | --- | --- | --- |
| 4.879 | 18.18 | 31 | 0 0 1 |
| 3.604 | 24.70 | 47 | 1 1 1 |
| 3.381 | 26.36 | 47 | 2 1 0 |
| 2.988 | 29.90 | 49 | 2 0 1 |
| 2.779 | 32.21 | 100 | 2 1 1 |
| 2.391 | 37.62 | 28 | 3 1 0 |
| 1.978 | 45.87 | 43 | 2 1 2 |
| 1.763 | 51.87 | 17 | 4 0 1 |
| 1.708 | 53.68 | 28 | 3 1 2 |
| 1.674 | 54.84 | 26 | 3 3 1 |
| 1.466 | 63.47 | 22 | 2 1 3 |
| 1.349 | 69.69 | 14 | 5 2 1 |

***

Record 2
For Nd2Be2SiGe, a structure optimized by DFT (GGA-PBE) gives the calculated powder XRD pattern in this record (copper Kα).
Lines closer than 0.1° are merged.

Structure:
Cell lengths 3.9775, 3.9775, 8.5014 Å; angles 90.00, 90.00, 120.00 degrees
Space group P-6m2 (No. 187)
Symmetry-distinct sites (fractional):
Nd 0.0000 0.0000 0.2477 (multiplicity 2)
Be 0.3333 0.6667 0.5000 (multiplicity 1)
Be 0.6667 0.3333 0.0000 (multiplicity 1)
Si 0.3333 0.6667 0.0000 (multiplicity 1)
Ge 0.6667 0.3333 0.5000 (multiplicity 1)

Largest 12 diffraction maxima, sorted by position, 5° ≤ 2θ ≤ 70°:
| d_spacing | 2theta | intensity | hkl |
| --- | --- | --- | --- |
| 8.501 | 10.41 | 3 | 0 0 1 |
| 4.251 | 20.90 | 13 | 0 0 2 |
| 3.445 | 25.87 | 43 | 1 0 0 |
| 3.192 | 27.95 | 9 | 1 0 1 |
| 2.676 | 33.48 | 100 | 1 0 2 |
| 2.125 | 42.54 | 11 | 0 0 4 |
| 1.989 | 45.62 | 28 | 1 1 0 |
| 1.809 | 50.46 | 14 | 1 0 4 |
| 1.801 | 50.68 | 8 | 1 1 2 |
| 1.722 | 53.18 | 6 | 2 0 0 |
| 1.596 | 57.76 | 21 | 2 0 2 |
| 1.452 | 64.13 | 20 | 1 1 4 |

***

Record 3
For Be2Ni3Ge2, a structure optimized by DFT (GGA-PBE) gives the calculated powder XRD pattern in this record (copper Kα).
Lines closer than 0.1° are merged.

Structure:
Cell lengths 3.8832, 3.8832, 18.7465 Å; angles 90.00, 90.00, 120.00 degrees
Space group R3m (No. 160, hexagonal axes)
Symmetry-distinct sites (fractional):
Be 0.0000 0.0000 0.0000 (multiplicity 3)
Be 0.0000 0.0000 0.4892 (multiplicity 3)
Ni 0.0000 0.0000 0.3657 (multiplicity 3)
Ni 0.0000 0.0000 0.6206 (multiplicity 3)
Ni 0.0000 0.0000 0.8725 (multiplicity 3)
Ge 0.0000 0.0000 0.2353 (multiplicity 3)
Ge 0.0000 0.0000 0.7497 (multiplicity 3)

Largest 12 diffraction maxima, sorted by position, 5° ≤ 2θ ≤ 70°:
| d_spacing | 2theta | intensity | hkl |
| --- | --- | --- | --- |
| 6.249 | 14.17 | 19 | 0 0 3 |
| 3.310 | 26.94 | 12 | 1 0 1 |
| 3.165 | 28.19 | 74 | 0 1 2 |
| 3.124 | 28.57 | 23 | 0 0 6 |
| 2.503 | 35.87 | 10 | 0 1 5 |
| 2.095 | 43.18 | 16 | 1 0 7 |
| 1.942 | 46.79 | 100 | 1 1 0 |
| 1.923 | 47.28 | 90 | 0 1 8 |
| 1.655 | 55.52 | 11 | 2 0 2 |
| 1.649 | 55.74 | 20 | 1 1 6 |
| 1.637 | 56.17 | 9 | 1 0 10 |
| 1.366 | 68.71 | 28 | 2 0 8 |

***

Record 4
For Pr2Be2GeO7, a structure optimized by DFT (GGA-PBE) gives the calculated powder XRD pattern in this record (copper Kα).
Lines closer than 0.1° are merged.

Structure:
Cell lengths 7.603, 7.603, 4.904 Å; angles 90.00, 90.00, 90.00 degrees
Space group P-42_1m (No. 113)
Symmetry-distinct sites (fractional):
Pr 0.159 0.341 0.496 (multiplicity 4)
Be 0.134 0.634 0.960 (multiplicity 4)
Ge 0.000 0.000 0.000 (multiplicity 2)
O 0.000 0.500 0.833 (multiplicity 2)
O 0.077 0.826 0.795 (multiplicity 8)
O 0.142 0.642 0.281 (multiplicity 4)

Largest 12 diffraction maxima, sorted by position, 5° ≤ 2θ ≤ 70°:
| d_spacing | 2theta | intensity | hkl |
| --- | --- | --- | --- |
| 4.904 | 18.09 | 29 | 0 0 1 |
| 3.623 | 24.57 | 47 | 1 1 1 |
| 3.400 | 26.21 | 47 | 2 1 0 |
| 3.005 | 29.73 | 50 | 2 0 1 |
| 2.794 | 32.03 | 100 | 2 1 1 |
| 2.404 | 37.40 | 28 | 3 1 0 |
| 1.989 | 45.61 | 43 | 2 1 2 |
| 1.772 | 51.57 | 17 | 4 0 1 |
| 1.717 | 53.37 | 28 | 3 1 2 |
| 1.683 | 54.52 | 26 | 3 3 1 |
| 1.474 | 63.09 | 22 | 2 1 3 |
| 1.357 | 69.25 | 14 | 5 2 1 |

***

Record 5
For Sm2Be2GeO7, a structure optimized by DFT (GGA-PBE) gives the calculated powder XRD pattern in this record (copper Kα).
Lines closer than 0.1° are merged.

Structure:
Cell lengths 7.500, 7.500, 4.841 Å; angles 90.00, 90.00, 90.00 degrees
Space group P-42_1m (No. 113)
Symmetry-distinct sites (fractional):
Sm 0.159 0.341 0.496 (multiplicity 4)
Be 0.135 0.635 0.956 (multiplicity 4)
Ge 0.000 0.000 0.000 (multiplicity 2)
O 0.000 0.500 0.824 (multiplicity 2)
O 0.079 0.827 0.788 (multiplicity 8)
O 0.142 0.642 0.282 (multiplicity 4)

Largest 12 diffraction maxima, sorted by position, 5° ≤ 2θ ≤ 70°:
| d_spacing | 2theta | intensity | hkl |
| --- | --- | --- | --- |
| 4.841 | 18.33 | 33 | 0 0 1 |
| 3.575 | 24.90 | 46 | 1 1 1 |
| 3.354 | 26.58 | 49 | 2 1 0 |
| 2.964 | 30.15 | 46 | 2 0 1 |
| 2.757 | 32.48 | 100 | 2 1 1 |
| 2.372 | 37.94 | 28 | 3 1 0 |
| 1.963 | 46.26 | 43 | 2 1 2 |
| 1.748 | 52.33 | 17 | 4 0 1 |
| 1.703 | 53.84 | 14 | 4 1 1 |
| 1.694 | 54.14 | 28 | 3 1 2 |
| 1.660 | 55.33 | 25 | 3 3 1 |
| 1.454 | 64.04 | 22 | 2 1 3 |

***

Record 6
For BeZnGe2P4, a structure optimized by DFT (GGA-PBE) gives the calculated powder XRD pattern in this record (copper Kα).
Lines closer than 0.1° are merged.

Structure:
Cell lengths 5.343, 5.343, 10.663 Å; angles 90.00, 90.00, 90.00 degrees
Space group I-4 (No. 82)
Symmetry-distinct sites (fractional):
Be 0.000 0.000 0.000 (multiplicity 2)
Zn 0.000 0.500 0.750 (multiplicity 2)
Ge 0.000 0.000 0.500 (multiplicity 2)
Ge 0.000 0.500 0.250 (multiplicity 2)
P 0.235 0.237 0.119 (multiplicity 8)

Largest 12 diffraction maxima, sorted by position, 5° ≤ 2θ ≤ 70°:
| d_spacing | 2theta | intensity | hkl |
| --- | --- | --- | --- |
| 5.332 | 16.63 | 4 | 0 0 2 |
| 4.777 | 18.57 | 16 | 1 0 1 |
| 3.778 | 23.55 | 5 | 1 1 0 |
| 3.083 | 28.97 | 100 | 1 1 2 |
| 2.959 | 30.20 | 8 | 1 0 3 |
| 2.670 | 33.57 | 9 | 2 0 0 |
| 2.388 | 37.66 | 4 | 2 0 2 |
| 2.332 | 38.61 | 8 | 2 1 1 |
| 2.178 | 41.46 | 3 | 1 1 4 |
| 1.982 | 45.78 | 6 | 1 0 5 |
| 1.888 | 48.21 | 62 | 2 0 4 |
| 1.610 | 57.22 | 40 | 1 1 6 |

***

Record 7
For TaBe2NbH2, a structure optimized by DFT (GGA-PBE) gives the calculated powder XRD pattern in this record (copper Kα).
Lines closer than 0.1° are merged.

Structure:
Cell lengths 3.458, 3.441, 9.291 Å; angles 90.00, 90.00, 90.00 degrees
Space group Amm2 (No. 38)
Symmetry-distinct sites (fractional):
Ta 0.000 0.000 0.000 (multiplicity 2)
Be 0.000 0.000 0.294 (multiplicity 2)
Be 0.500 0.000 0.418 (multiplicity 2)
Nb 0.500 0.000 0.711 (multiplicity 2)
H 0.000 0.000 0.608 (multiplicity 2)
H 0.500 0.000 0.103 (multiplicity 2)

Largest 12 diffraction maxima, sorted by position, 5° ≤ 2θ ≤ 70°:
| d_spacing | 2theta | intensity | hkl |
| --- | --- | --- | --- |
| 4.645 | 19.11 | 26 | 0 0 2 |
| 3.227 | 27.64 | 64 | 0 1 1 |
| 2.774 | 32.27 | 100 | 1 0 2 |
| 2.359 | 38.14 | 96 | 1 1 1 |
| 2.323 | 38.77 | 27 | 0 0 4 |
| 2.302 | 39.13 | 59 | 0 1 3 |
| 1.916 | 47.45 | 22 | 1 1 3 |
| 1.729 | 52.96 | 15 | 2 0 0 |
| 1.721 | 53.23 | 15 | 0 2 0 |
| 1.478 | 62.87 | 30 | 1 1 5 |
| 1.462 | 63.64 | 28 | 1 2 2 |
| 1.383 | 67.78 | 34 | 2 1 3 |

***

Record 8
For HfBe12, a structure optimized by DFT (GGA-PBE) gives the calculated powder XRD pattern in this record (copper Kα).
Lines closer than 0.1° are merged.

Structure:
Cell lengths 7.434, 7.434, 4.205 Å; angles 90.00, 90.00, 90.00 degrees
Space group I4/mmm (No. 139)
Symmetry-distinct sites (fractional):
Hf 0.000 0.000 0.000 (multiplicity 2)
Be 0.000 0.223 0.500 (multiplicity 8)
Be 0.000 0.354 0.000 (multiplicity 8)
Be 0.250 0.250 0.250 (multiplicity 8)

Largest 12 diffraction maxima, sorted by position, 5° ≤ 2θ ≤ 70°:
| d_spacing | 2theta | intensity | hkl |
| --- | --- | --- | --- |
| 5.257 | 16.87 | 100 | 1 1 0 |
| 3.717 | 23.94 | 43 | 2 0 0 |
| 3.660 | 24.32 | 88 | 1 0 1 |
| 2.628 | 34.11 | 20 | 2 2 0 |
| 2.608 | 34.39 | 82 | 2 1 1 |
| 2.351 | 38.29 | 31 | 3 1 0 |
| 2.135 | 42.33 | 28 | 3 0 1 |
| 1.952 | 46.52 | 16 | 1 1 2 |
| 1.851 | 49.22 | 39 | 3 2 1 |
| 1.830 | 49.83 | 21 | 2 0 2 |
| 1.567 | 58.93 | 18 | 3 1 2 |
| 1.402 | 66.73 | 18 | 4 3 1 |

***

Record 9
For Hf2Be2I, a structure optimized by DFT (GGA-PBE) gives the calculated powder XRD pattern in this record (copper Kα).
Lines closer than 0.1° are merged.

Structure:
Cell lengths 14.815, 3.566, 3.808 Å; angles 90.00, 103.92, 90.00 degrees
Space group C2/m (No. 12)
Symmetry-distinct sites (fractional):
Hf 0.191 0.000 0.195 (multiplicity 4)
Be 0.137 0.500 0.644 (multiplicity 4)
I 0.000 0.000 0.500 (multiplicity 2)

Largest 12 diffraction maxima, sorted by position, 5° ≤ 2θ ≤ 70°:
| d_spacing | 2theta | intensity | hkl |
| --- | --- | --- | --- |
| 7.190 | 12.31 | 72 | 2 0 0 |
| 3.461 | 25.74 | 88 | 1 1 0 |
| 3.006 | 29.72 | 93 | 2 0 1 |
| 2.957 | 30.23 | 92 | 4 0 -1 |
| 2.861 | 31.26 | 29 | 3 1 0 |
| 2.603 | 34.46 | 40 | 1 1 -1 |
| 2.456 | 36.58 | 92 | 1 1 1 |
| 2.438 | 36.87 | 85 | 3 1 -1 |
| 2.397 | 37.53 | 32 | 6 0 0 |
| 2.239 | 40.29 | 100 | 5 1 0 |
| 1.904 | 47.78 | 33 | 2 0 -2 |
| 1.783 | 51.24 | 28 | 0 2 0 |

***

Record 10
For Lu2HfBe, a structure optimized by DFT (GGA-PBE) gives the calculated powder XRD pattern in this record (copper Kα).
Lines closer than 0.1° are merged.

Structure:
Cell lengths 7.021, 7.021, 7.021 Å; angles 90.00, 90.00, 90.00 degrees
Space group F-43m (No. 216)
Symmetry-distinct sites (fractional):
Lu 0.000 0.000 0.000 (multiplicity 4)
Lu 0.250 0.250 0.250 (multiplicity 4)
Hf 0.250 0.250 0.750 (multiplicity 4)
Be 0.000 0.000 0.500 (multiplicity 4)

Largest 10 diffraction maxima, sorted by position, 5° ≤ 2θ ≤ 70°:
| d_spacing | 2theta | intensity | hkl |
| --- | --- | --- | --- |
| 4.054 | 21.93 | 23 | 1 1 1 |
| 3.511 | 25.37 | 13 | 2 0 0 |
| 2.482 | 36.19 | 100 | 2 2 0 |
| 2.117 | 42.71 | 13 | 3 1 1 |
| 2.027 | 44.71 | 4 | 2 2 2 |
| 1.755 | 52.11 | 18 | 4 0 0 |
| 1.611 | 57.19 | 5 | 3 3 1 |
| 1.570 | 58.82 | 5 | 4 2 0 |
| 1.433 | 65.08 | 37 | 4 2 2 |
| 1.351 | 69.57 | 4 | 5 1 1 |

***

Record 11
For Hf4BeN2, a structure optimized by DFT (GGA-PBE) gives the calculated powder XRD pattern in this record (copper Kα).
Lines closer than 0.1° are merged.

Structure:
Cell lengths 3.262, 10.849, 11.281 Å; angles 90.00, 90.00, 90.00 degrees
Space group Cmcm (No. 63)
Symmetry-distinct sites (fractional):
Hf 0.000 0.000 0.000 (multiplicity 4)
Hf 0.000 0.266 0.112 (multiplicity 8)
Hf 0.000 0.432 0.750 (multiplicity 4)
Be 0.000 0.111 0.750 (multiplicity 4)
N 0.000 0.366 0.562 (multiplicity 8)

Largest 12 diffraction maxima, sorted by position, 5° ≤ 2θ ≤ 70°:
| d_spacing | 2theta | intensity | hkl |
| --- | --- | --- | --- |
| 2.733 | 32.77 | 65 | 1 1 2 |
| 2.712 | 33.02 | 32 | 0 4 0 |
| 2.637 | 33.99 | 20 | 0 4 1 |
| 2.502 | 35.89 | 100 | 0 2 4 |
| 2.403 | 37.42 | 60 | 1 1 3 |
| 2.368 | 37.99 | 70 | 1 3 1 |
| 2.226 | 40.53 | 26 | 1 3 2 |
| 1.631 | 56.42 | 25 | 2 0 0 |
| 1.629 | 56.51 | 27 | 1 5 3 |
| 1.611 | 57.18 | 18 | 1 1 6 |
| 1.521 | 60.89 | 25 | 1 5 4 |
| 1.366 | 68.69 | 31 | 2 2 4 |

***

Record 12
For HfBeNO, a structure optimized by DFT (GGA-PBE) gives the calculated powder XRD pattern in this record (copper Kα).
Lines closer than 0.1° are merged.

Structure:
Cell lengths 4.580, 7.391, 4.466 Å; angles 90.00, 90.00, 90.00 degrees
Space group Pca2_1 (No. 29)
Symmetry-distinct sites (fractional):
Hf 0.004 0.141 0.000 (multiplicity 4)
Be 0.088 0.591 0.926 (multiplicity 4)
N 0.005 0.174 0.501 (multiplicity 4)
O 0.088 0.574 0.562 (multiplicity 4)

Largest 12 diffraction maxima, sorted by position, 5° ≤ 2θ ≤ 70°:
| d_spacing | 2theta | intensity | hkl |
| --- | --- | --- | --- |
| 7.391 | 11.97 | 100 | 0 1 0 |
| 2.935 | 30.46 | 82 | 1 1 1 |
| 2.464 | 36.47 | 23 | 0 3 0 |
| 2.418 | 37.18 | 73 | 1 2 1 |
| 2.290 | 39.34 | 25 | 2 0 0 |
| 2.233 | 40.39 | 25 | 0 0 2 |
| 2.188 | 41.27 | 13 | 2 1 0 |
| 1.952 | 46.53 | 14 | 1 3 1 |
| 1.677 | 54.72 | 14 | 2 3 0 |
| 1.655 | 55.54 | 13 | 0 3 2 |
| 1.599 | 57.65 | 19 | 2 0 2 |
| 1.346 | 69.91 | 13 | 3 2 1 |